Record 1
K2Zn2Si8O19: calculated powder diffractogram (Cu Kα), based on a cell relaxed with GGA-PBE.
Intensities are scaled so that the largest is 100.

```
K2Zn2Si8O19
1.0
6.8526 -2.5243 0.0000
6.8526 2.5243 0.0000
-3.7260 0.0000 11.8810
K Zn Si O
2 2 8 19
Cartesian
1.1463 0.0000 1.7642 K
8.8329 0.0000 10.1168 K
-0.6701 -0.1525 10.8184 Zn
10.6492 -0.1525 1.0626 Zn
3.0075 1.6308 6.7871 Si
0.3842 0.2621 7.8735 Si
6.9716 1.6308 5.0939 Si
5.5877 -0.0958 0.9154 Si
4.3914 -0.0958 10.9656 Si
5.5609 -0.8246 3.9722 Si
4.4182 -0.8246 7.9088 Si
9.5949 0.2621 4.0075 Si
1.6712 1.2436 7.6147 O
5.5105 1.5048 0.8618 O
4.4686 1.5048 11.0192 O
0.4980 -0.3821 9.3268 O
0.3658 -0.8734 6.6931 O
4.1951 0.5871 7.1478 O
5.7841 0.5871 4.7332 O
8.3079 1.2436 4.2663 O
4.1951 -0.8226 0.4607 O
5.9697 -0.6770 2.4092 O
6.8526 -0.6449 0.0000 O
4.0320 -1.2714 4.1780 O
4.0094 -0.6770 9.4718 O
3.4046 -1.9361 7.3099 O
9.4811 -0.3821 2.5542 O
5.7840 -0.8226 11.4203 O
5.9472 -1.2714 7.7030 O
6.5745 -1.9361 4.5711 O
9.6134 -0.8734 5.1879 O
```

Largest 6 diffraction maxima, in order of falling intensity, 10 to 80 degrees two-theta:
2θ 27.02, rel. 100
2θ 29.69, rel. 47
2θ 25.37, rel. 33
2θ 30.09, rel. 30
2θ 33.91, rel. 27
2θ 36.39, rel. 27



Record 2
ErMgHg2: calculated powder diffractogram (Cu Kα), based on a cell relaxed with GGA-PBE.
Intensities are scaled so that the largest is 100.

```
ErMgHg2
1.0
5.0120 0.0000 0.0000
0.0000 5.8715 3.1356
0.0000 -5.8715 3.1356
Er Mg Hg
2 2 4
Cartesian
1.2530 -3.7722 3.1356 Er
3.7590 3.7722 3.1356 Er
1.2530 -0.8285 4.4783 Mg
3.7590 0.8285 4.4783 Mg
1.2530 -0.9370 1.3406 Hg
1.2530 1.9057 3.1827 Hg
3.7590 0.9370 1.3406 Hg
3.7590 -1.9057 3.1827 Hg
```

Largest 6 diffraction maxima, in order of falling intensity, 10 to 80 degrees two-theta:
2θ 37.13, rel. 100
2θ 35.44, rel. 69
2θ 32.36, rel. 53
2θ 35.83, rel. 42
2θ 16.02, rel. 33
2θ 67.70, rel. 25



Record 3
Hf4CuNiSb2: calculated powder diffractogram (Cu Kα), based on a cell relaxed with GGA-PBE.
Intensities are scaled so that the largest is 100.

```
Hf4CuNiSb2
1.0
5.5866 0.0000 0.0000
0.0000 3.8260 0.0000
-2.6887 0.0000 7.2980
Hf Cu Ni Sb
4 1 1 2
Cartesian
0.0000 0.0000 0.0000 Hf
-1.4557 1.9130 4.6696 Hf
1.1631 0.0000 3.3781 Hf
2.3925 1.9130 0.8881 Hf
-0.2334 0.0000 6.1863 Cu
-0.0522 1.9130 1.9264 Ni
1.4039 1.9130 5.6120 Sb
3.9103 0.0000 2.4954 Sb
```

Largest 6 diffraction maxima, in order of falling intensity, 10 to 80 degrees two-theta:
2θ 33.72, rel. 100
2θ 33.95, rel. 96
2θ 42.06, rel. 53
2θ 34.54, rel. 49
2θ 47.53, rel. 40
2θ 34.88, rel. 38



Record 4
Li4HfPtO6: calculated powder diffractogram (Cu Kα), based on a cell relaxed with GGA-PBE.
Intensities are scaled so that the largest is 100.

```
Li4HfPtO6
1.0
2.5834 -4.4764 0.0000
2.5834 4.4764 0.0000
-1.7023 0.0000 4.9200
Li Hf Pt O
4 1 1 6
Cartesian
0.0000 0.0000 0.0000 Li
2.5834 1.2188 0.0000 Li
2.5834 -1.6504 0.0000 Li
1.7322 -3.1134 2.4600 Li
1.7322 2.8496 2.4600 Hf
1.7322 -0.1337 2.4600 Pt
0.9121 1.3408 1.2661 O
0.0495 -0.1627 3.6408 O
0.8682 -1.5732 1.2714 O
2.5524 1.3408 3.6539 O
3.4149 -0.1627 1.2792 O
2.5963 -1.5732 3.6486 O
```

Largest 6 diffraction maxima, in order of falling intensity, 10 to 80 degrees two-theta:
2θ 18.03, rel. 100
2θ 35.26, rel. 55
2θ 42.67, rel. 40
2θ 20.72, rel. 36
2θ 36.86, rel. 33
2θ 23.28, rel. 28



Record 5
LaDyNi2B2N2: calculated powder diffractogram (Cu Kα), based on a cell relaxed with GGA-PBE.
Intensities are scaled so that the largest is 100.

```
LaDyNi2B2N2
1.0
3.6050 0.0000 0.0000
0.0000 3.6050 0.0000
0.0000 0.0000 7.5347
La Dy Ni B N
1 1 2 2 2
Cartesian
0.0000 0.0000 0.0000 La
1.8025 1.8025 2.5782 Dy
0.0000 1.8025 5.0318 Ni
1.8025 0.0000 5.0318 Ni
0.0000 0.0000 3.9123 B
1.8025 1.8025 6.2374 B
0.0000 0.0000 2.4615 N
1.8025 1.8025 0.1683 N
```

Largest 6 diffraction maxima, in order of falling intensity, 10 to 80 degrees two-theta:
2θ 27.43, rel. 100
2θ 37.24, rel. 70
2θ 34.43, rel. 63
2θ 42.83, rel. 57
2θ 35.75, rel. 48
2θ 50.64, rel. 40



Record 6
AlW: calculated powder diffractogram (Cu Kα), based on a cell relaxed with GGA-PBE.
Intensities are scaled so that the largest is 100.

```
AlW
1.0
5.0193 0.0000 0.0000
-2.5096 4.3468 0.0000
0.0000 0.0000 8.4360
Al W
6 6
Cartesian
0.0000 1.4765 2.1090 Al
-1.2310 3.6086 2.1090 Al
1.2787 0.7382 6.3270 Al
1.2310 3.6086 2.1090 Al
3.7406 0.7382 6.3270 Al
2.5097 2.8703 6.3270 Al
0.0000 0.0000 0.0000 W
0.0000 0.0000 4.2180 W
0.0000 2.8979 4.9038 W
0.0000 2.8979 7.7503 W
2.5097 1.4489 0.6858 W
2.5097 1.4489 3.5322 W
```

Largest 6 diffraction maxima, in order of falling intensity, 10 to 80 degrees two-theta:
2θ 35.78, rel. 100
2θ 41.89, rel. 77
2θ 38.12, rel. 72
2θ 21.06, rel. 38
2θ 23.02, rel. 38
2θ 65.84, rel. 29



Record 7
LaPrNi2B2Pt6: calculated powder diffractogram (Cu Kα), based on a cell relaxed with GGA-PBE.
Intensities are scaled so that the largest is 100.

```
LaPrNi2B2Pt6
1.0
5.4841 0.0000 0.0000
-2.7421 4.7494 0.0000
0.0000 0.0000 7.3884
La Pr Ni B Pt
1 1 2 2 6
Cartesian
0.0000 0.0000 0.0000 La
0.0000 0.0000 3.6942 Pr
0.0000 3.1663 0.0000 Ni
2.7421 1.5831 0.0000 Ni
0.0000 3.1663 3.6942 B
2.7421 1.5831 3.6942 B
-1.3710 2.3747 2.1321 Pt
-1.3710 2.3747 5.2563 Pt
2.7421 0.0000 2.1321 Pt
2.7421 0.0000 5.2563 Pt
1.3710 2.3747 2.1321 Pt
1.3710 2.3747 5.2563 Pt
```

Largest 6 diffraction maxima, in order of falling intensity, 10 to 80 degrees two-theta:
2θ 37.89, rel. 100
2θ 30.66, rel. 56
2θ 40.99, rel. 51
2θ 45.40, rel. 43
2θ 68.43, rel. 24
2θ 57.04, rel. 20



Record 8
Pr3Mg2Ge4Pd2: calculated powder diffractogram (Cu Kα), based on a cell relaxed with GGA-PBE.
Intensities are scaled so that the largest is 100.

```
Pr3Mg2Ge4Pd2
1.0
-2.1051 2.1881 13.3871
2.1051 -2.1881 13.3871
2.1051 2.1881 -13.3871
Pr Mg Ge Pd
3 2 4 2
Cartesian
0.0000 0.0000 0.0000 Pr
2.1051 0.0000 9.6764 Pr
0.0000 2.1881 3.7107 Pr
0.0000 0.0000 6.7037 Mg
0.0000 0.0000 20.0705 Mg
2.1051 0.0000 4.9631 Ge
0.0000 0.0000 12.1293 Ge
0.0000 0.0000 14.6449 Ge
0.0000 2.1881 8.4240 Ge
2.1051 0.0000 2.4503 Pd
0.0000 2.1881 10.9368 Pd
```

Largest 6 diffraction maxima, in order of falling intensity, 10 to 80 degrees two-theta:
2θ 32.40, rel. 100
2θ 31.60, rel. 54
2θ 42.50, rel. 46
2θ 42.96, rel. 31
2θ 62.03, rel. 30
2θ 41.26, rel. 28



Record 9
Nb2Cd3W4C3: calculated powder diffractogram (Cu Kα), based on a cell relaxed with GGA-PBE.
Intensities are scaled so that the largest is 100.

```
Nb2Cd3W4C3
1.0
4.6753 -2.7006 0.0000
4.6753 2.7006 0.0000
-3.1627 0.0000 14.4085
Nb Cd W C
4 6 8 6
Cartesian
2.3171 2.2519 8.4492 Nb
2.2894 2.2519 13.1635 Nb
3.8985 -2.2519 1.2450 Nb
3.8708 -2.2519 5.9593 Nb
-0.6897 0.5215 10.8093 Cd
0.8916 -0.5215 3.6050 Cd
2.3033 0.3091 10.8064 Cd
3.8846 -0.3091 3.6021 Cd
5.2963 0.5215 10.8034 Cd
6.8777 -0.5215 3.5992 Cd
2.3304 0.4485 1.1120 W
2.3190 0.4585 6.0914 W
0.7490 -0.4485 8.3163 W
0.7377 -0.4585 13.2956 W
5.4503 0.4585 1.1129 W
5.4389 0.4485 6.0922 W
3.8689 -0.4585 8.3171 W
3.8576 -0.4485 13.2965 W
0.7563 1.3503 7.2042 C
3.8917 1.3439 0.0000 C
3.8776 1.3439 7.2042 C
2.3377 -1.3503 0.0000 C
2.3103 -1.3439 7.2042 C
5.4589 -1.3439 0.0000 C
```

Largest 6 diffraction maxima, in order of falling intensity, 10 to 80 degrees two-theta:
2θ 38.24, rel. 100
2θ 37.45, rel. 22
2θ 59.28, rel. 19
2θ 33.19, rel. 15
2θ 68.04, rel. 11
2θ 50.85, rel. 10



Record 10
Pm4C2Cl5: calculated powder diffractogram (Cu Kα), based on a cell relaxed with GGA-PBE.
Intensities are scaled so that the largest is 100.

```
Pm4C2Cl5
1.0
9.3938 -1.9119 0.0000
9.3938 1.9119 0.0000
-2.3773 0.0000 7.4859
Pm C Cl
4 2 5
Cartesian
-0.4991 0.0000 1.5715 Pm
-1.8783 0.0000 5.9144 Pm
4.2513 0.0000 6.5266 Pm
12.1590 0.0000 0.9593 Pm
6.3498 0.0000 7.2587 C
10.0606 0.0000 0.2272 C
2.1168 0.0000 2.8999 Cl
1.1107 0.0000 6.4382 Cl
8.2052 0.0000 3.7429 Cl
15.2996 0.0000 1.0477 Cl
14.2936 0.0000 4.5860 Cl
```

Largest 6 diffraction maxima, in order of falling intensity, 10 to 80 degrees two-theta:
2θ 32.77, rel. 100
2θ 29.94, rel. 80
2θ 11.82, rel. 77
2θ 27.71, rel. 49
2θ 46.55, rel. 43
2θ 43.33, rel. 39



Record 11
Ni4P2Cl: calculated powder diffractogram (Cu Kα), based on a cell relaxed with GGA-PBE.
Intensities are scaled so that the largest is 100.

```
Ni4P2Cl
1.0
3.5927 0.0000 0.0000
-1.7963 3.1114 0.0000
0.0000 0.0000 9.4289
Ni P Cl
4 2 1
Cartesian
0.0000 0.0000 0.0000 Ni
0.0000 0.0000 4.4051 Ni
1.7963 1.0371 1.4500 Ni
1.7963 1.0371 5.9325 Ni
0.0000 0.0000 2.1827 P
0.0000 2.0742 5.1218 P
1.7963 1.0371 8.1845 Cl
```

Largest 6 diffraction maxima, in order of falling intensity, 10 to 80 degrees two-theta:
2θ 48.45, rel. 100
2θ 34.54, rel. 86
2θ 50.83, rel. 80
2θ 28.69, rel. 60
2θ 18.82, rel. 50
2θ 30.25, rel. 31



Record 12
Tm2Fe4B4Ir: calculated powder diffractogram (Cu Kα), based on a cell relaxed with GGA-PBE.
Intensities are scaled so that the largest is 100.

```
Tm2Fe4B4Ir
1.0
0.0000 4.7850 5.4646
2.5165 0.0000 5.4646
2.5165 4.7850 0.0000
Tm Fe B Ir
2 4 4 1
Cartesian
2.5165 4.7850 1.6145 Tm
2.5165 4.7850 9.3147 Tm
1.2583 2.3925 0.0000 Fe
1.2583 2.3925 2.7323 Fe
1.2583 2.3925 5.4646 Fe
3.7748 7.1774 8.1969 Fe
2.5165 3.2492 3.9644 B
2.5165 3.2492 6.9648 B
2.5165 6.3207 3.9644 B
2.5165 6.3207 6.9648 B
2.5165 4.7850 5.4646 Ir
```

Largest 6 diffraction maxima, in order of falling intensity, 10 to 80 degrees two-theta:
2θ 31.73, rel. 100
2θ 40.50, rel. 61
2θ 41.69, rel. 56
2θ 37.60, rel. 37
2θ 18.54, rel. 27
2θ 57.38, rel. 20



Record 13
Tb2GdNi2B2C3: calculated powder diffractogram (Cu Kα), based on a cell relaxed with GGA-PBE.
Intensities are scaled so that the largest is 100.

```
Tb2GdNi2B2C3
1.0
-1.8050 1.8050 10.2435
1.8050 -1.8050 10.2435
1.8050 1.8050 -10.2435
Tb Gd Ni B C
2 1 2 2 3
Cartesian
0.0000 0.0000 2.5299 Tb
0.0000 0.0000 17.9572 Tb
0.0000 0.0000 10.2435 Gd
1.8050 0.0000 5.1218 Ni
0.0000 1.8050 5.1218 Ni
0.0000 0.0000 6.2120 B
0.0000 0.0000 14.2751 B
0.0000 0.0000 0.0000 C
0.0000 0.0000 7.6991 C
0.0000 0.0000 12.7880 C
```

Largest 6 diffraction maxima, in order of falling intensity, 10 to 80 degrees two-theta:
2θ 27.96, rel. 100
2θ 33.07, rel. 86
2θ 50.53, rel. 60
2θ 35.04, rel. 49
2θ 36.27, rel. 39
2θ 35.16, rel. 38